Simulated powder diffraction line list of P2O3F4 for Cu Kα, from a cell relaxed with PBE.
Lines closer than 0.1° are merged.

```
data_P2O3F4
_symmetry_space_group_name_H-M 'P c c a'
_symmetry_Int_Tables_number 54
_symmetry_space_group_name_Hall '-P 2a 2ac'
_cell_length_a 12.6480
_cell_length_b 6.7065
_cell_length_c 6.7112
_cell_angle_alpha 90.00
_cell_angle_beta 90.00
_cell_angle_gamma 90.00
loop_
_atom_site_label
_atom_site_type_symbol
_atom_site_fract_x
_atom_site_fract_y
_atom_site_fract_z
_atom_site_occupancy
P1 P 0.0991 0.1895 0.1288 1
O1 O 0.0000 0.2720 0.2500 1
O2 O 0.1095 0.0236 0.5927 1
F1 F 0.0933 0.3262 0.9429 1
F2 F 0.1910 0.2904 0.2433 1
```

Peak list (10 most intense, 10° ≤ 2θ ≤ 90°, sorted by position)
| Position (°2θ) | I/Imax | hkl |
| --- | --- | --- |
| 13.20 | 18 | 0 1 0 |
| 14.00 | 19 | 2 0 0 |
| 19.99 | 98 | 1 1 1 |
| 23.44 | 100 | 2 1 1 |
| 26.58 | 32 | 0 2 0 |
| 27.50 | 15 | 1 0 2 |
| 28.25 | 37 | 4 0 0 |
| 30.62 | 21 | 1 1 2 |
| 34.11 | 30 | 3 0 2 |
| 36.76 | 24 | 3 1 2 |


Simulated powder diffraction line list of PmP2O6F2 for Cu Kα, from a cell relaxed with PBE.
Lines closer than 0.1° are merged.

```
data_PmP2O6F2
_symmetry_space_group_name_H-M 'P -3 m 1'
_symmetry_Int_Tables_number 164
_symmetry_space_group_name_Hall '-P 3 2"'
_cell_length_a 5.9631
_cell_length_b 5.9631
_cell_length_c 5.8142
_cell_angle_alpha 90.00
_cell_angle_beta 90.00
_cell_angle_gamma 120.00
loop_
_atom_site_label
_atom_site_type_symbol
_atom_site_fract_x
_atom_site_fract_y
_atom_site_fract_z
_atom_site_occupancy
Pm1 Pm 0.0000 0.0000 0.0000 1
P1 P 0.3333 0.6667 0.7172 1
O1 O 0.1917 0.3834 0.7882 1
F1 F 0.3333 0.6667 0.4459 1
```

Peak list (10 most intense, 10° ≤ 2θ ≤ 90°, sorted by position)
| Position (°2θ) | I/Imax | hkl |
| --- | --- | --- |
| 15.24 | 17 | 0 0 1 |
| 17.17 | 22 | 1 0 0 |
| 23.03 | 100 | 1 0 1 |
| 29.97 | 34 | 1 1 0 |
| 35.43 | 23 | 1 0 2 |
| 38.13 | 20 | 2 0 1 |
| 43.48 | 10 | 1 1 2 |
| 47.07 | 16 | 2 0 2 |
| 49.24 | 24 | 2 1 1 |
| 50.28 | 9 | 0 1 3 |


Simulated powder diffraction line list of P2PtO6F2 for Cu Kα, from a cell relaxed with PBE.
Lines closer than 0.1° are merged.

```
data_P2PtO6F2
_symmetry_space_group_name_H-M 'P -3'
_symmetry_Int_Tables_number 147
_symmetry_space_group_name_Hall '-P 3'
_cell_length_a 4.9038
_cell_length_b 4.9038
_cell_length_c 7.3603
_cell_angle_alpha 90.00
_cell_angle_beta 90.00
_cell_angle_gamma 120.00
loop_
_atom_site_label
_atom_site_type_symbol
_atom_site_fract_x
_atom_site_fract_y
_atom_site_fract_z
_atom_site_occupancy
P1 P 0.3333 0.6667 0.2856 1
Pt1 Pt 0.0000 0.0000 0.5000 1
O1 O 0.0440 0.6940 0.3366 1
F1 F 0.3333 0.6667 0.0735 1
```

Peak list (10 most intense, 10° ≤ 2θ ≤ 90°, sorted by position)
| Position (°2θ) | I/Imax | hkl |
| --- | --- | --- |
| 12.02 | 84 | 0 0 1 |
| 20.92 | 27 | 1 0 0 |
| 24.19 | 100 | 1 0 1 |
| 32.19 | 41 | 1 0 2 |
| 36.65 | 21 | 1 1 0 |
| 38.71 | 15 | 2 -1 1 |
| 42.56 | 25 | 0 1 3 |
| 44.40 | 31 | 2 -1 2 |
| 58.89 | 16 | 2 1 1 |
| 63.19 | 23 | 0 0 5 |


Simulated powder diffraction line list of PuPO4F2 for Cu Kα, from a cell relaxed with PBE.
Lines closer than 0.1° are merged.

```
data_PuPO4F2
_symmetry_space_group_name_H-M 'P m m n'
_symmetry_Int_Tables_number 59
_cell_length_a 5.6256
_cell_length_b 6.9302
_cell_length_c 7.2444
_cell_angle_alpha 90.00
_cell_angle_beta 90.00
_cell_angle_gamma 90.00
loop_
_symmetry_equiv_pos_as_xyz
'x,y,z'
'-x,-y,-z'
'-x+1/2,-y+1/2,z'
'x+1/2,y+1/2,-z'
'x+1/2,-y,-z'
'-x+1/2,y,z'
'-x,y+1/2,-z'
'x,-y+1/2,z'
loop_
_atom_site_label
_atom_site_type_symbol
_atom_site_fract_x
_atom_site_fract_y
_atom_site_fract_z
_atom_site_occupancy
Pu1 Pu 0.2500 0.2500 0.2305 1
P1 P 0.2500 0.7500 0.0994 1
O1 O 0.0235 0.7500 0.9754 1
O2 O 0.2500 0.5678 0.2195 1
F1 F 0.0013 0.7500 0.5716 1
```

Peak list (10 most intense, 10° ≤ 2θ ≤ 90°, sorted by position)
| Position (°2θ) | I/Imax | hkl |
| --- | --- | --- |
| 17.71 | 78 | 0 1 1 |
| 19.98 | 100 | 1 0 1 |
| 20.33 | 37 | 1 1 0 |
| 25.71 | 34 | 0 2 0 |
| 32.10 | 40 | 1 1 2 |
| 32.78 | 37 | 1 2 1 |
| 36.64 | 17 | 2 1 1 |
| 40.63 | 28 | 2 0 2 |
| 48.70 | 23 | 2 2 2 |
| 49.53 | 17 | 1 3 2 |


Simulated powder diffraction line list of PuP2O6F2 for Cu Kα, from a cell relaxed with PBE.
Lines closer than 0.1° are merged.

```
data_PuP2O6F2
_symmetry_space_group_name_H-M 'P -3 m 1'
_symmetry_Int_Tables_number 164
_symmetry_space_group_name_Hall '-P 3 2"'
_cell_length_a 5.7396
_cell_length_b 5.7396
_cell_length_c 6.2179
_cell_angle_alpha 90.00
_cell_angle_beta 90.00
_cell_angle_gamma 120.00
loop_
_atom_site_label
_atom_site_type_symbol
_atom_site_fract_x
_atom_site_fract_y
_atom_site_fract_z
_atom_site_occupancy
Pu1 Pu 0.0000 0.0000 0.0000 1
P1 P 0.3333 0.6667 0.7375 1
O1 O 0.1853 0.3706 0.8014 1
F1 F 0.3333 0.6667 0.4846 1
```

Peak list (10 most intense, 10° ≤ 2θ ≤ 90°, sorted by position)
| Position (°2θ) | I/Imax | hkl |
| --- | --- | --- |
| 14.24 | 32 | 0 0 1 |
| 17.84 | 39 | 1 0 0 |
| 22.91 | 100 | 1 0 1 |
| 31.17 | 29 | 1 1 0 |
| 34.01 | 29 | 1 0 2 |
| 34.42 | 15 | 1 1 1 |
| 39.03 | 20 | 2 0 1 |
| 42.89 | 14 | 1 1 2 |
| 46.80 | 17 | 2 0 2 |
| 50.77 | 24 | 2 1 1 |


Simulated powder diffraction line list of Rb2PO3F for Cu Kα, from a cell relaxed with PBE.
Lines closer than 0.1° are merged.

```
data_Rb2PO3F
_symmetry_space_group_name_H-M 'P n m a'
_symmetry_Int_Tables_number 62
_symmetry_space_group_name_Hall '-P 2ac 2n'
_cell_length_a 8.0637
_cell_length_b 6.2313
_cell_length_c 10.6823
_cell_angle_alpha 90.00
_cell_angle_beta 90.00
_cell_angle_gamma 90.00
loop_
_atom_site_label
_atom_site_type_symbol
_atom_site_fract_x
_atom_site_fract_y
_atom_site_fract_z
_atom_site_occupancy
Rb1 Rb 0.0080 0.2500 0.2182 1
Rb2 Rb 0.1764 0.2500 0.5767 1
P1 P 0.2418 0.2500 0.9132 1
O1 O 0.1870 0.7500 0.5455 1
O2 O 0.2314 0.5434 0.3399 1
F1 F 0.0362 0.2500 0.9379 1
```

Peak list (10 most intense, 10° ≤ 2θ ≤ 90°, sorted by position)
| Position (°2θ) | I/Imax | hkl |
| --- | --- | --- |
| 26.33 | 16 | 2 1 0 |
| 27.67 | 100 | 2 1 1 |
| 28.65 | 50 | 0 2 0 |
| 28.88 | 83 | 0 1 3 |
| 34.41 | 21 | 3 0 1 |
| 40.29 | 32 | 2 2 2 |
| 45.36 | 15 | 3 2 1 |
| 50.35 | 22 | 3 1 4 |
| 50.89 | 16 | 0 3 3 |
| 59.86 | 16 | 0 2 6 |


Simulated powder diffraction line list of Rb2POF5 for Cu Kα, from a cell relaxed with PBE.
Lines closer than 0.1° are merged.

```
data_Rb2POF5
_symmetry_space_group_name_H-M 'I 4 m m'
_symmetry_Int_Tables_number 107
_symmetry_space_group_name_Hall 'I 4 -2'
_cell_length_a 5.9012
_cell_length_b 5.9012
_cell_length_c 9.0800
_cell_angle_alpha 90.00
_cell_angle_beta 90.00
_cell_angle_gamma 90.00
loop_
_atom_site_label
_atom_site_type_symbol
_atom_site_fract_x
_atom_site_fract_y
_atom_site_fract_z
_atom_site_occupancy
Rb1 Rb 0.0000 0.5000 0.0000 1
P1 P 0.0000 0.0000 0.2654 1
O1 O 0.0000 0.0000 0.4343 1
F1 F 0.0000 0.0000 0.0718 1
F2 F 0.2029 0.2029 0.2431 1
```

Peak list (10 most intense, 10° ≤ 2θ ≤ 90°, sorted by position)
| Position (°2θ) | I/Imax | hkl |
| --- | --- | --- |
| 17.93 | 52 | 1 0 1 |
| 21.29 | 28 | 1 1 0 |
| 29.07 | 100 | 1 1 2 |
| 30.29 | 39 | 2 0 0 |
| 36.31 | 84 | 2 0 2 |
| 39.71 | 22 | 0 0 4 |
| 43.37 | 39 | 2 2 0 |
| 45.49 | 17 | 1 1 4 |
| 53.06 | 28 | 3 1 2 |
| 60.25 | 20 | 2 2 4 |


Simulated powder diffraction line list of PSOF2 for Cu Kα, from a cell relaxed with PBE.
Lines closer than 0.1° are merged.

```
data_PSOF2
_symmetry_space_group_name_H-M 'P 4/m m m'
_symmetry_Int_Tables_number 123
_symmetry_space_group_name_Hall '-P 4 2'
_cell_length_a 4.3524
_cell_length_b 4.3524
_cell_length_c 3.4906
_cell_angle_alpha 90.00
_cell_angle_beta 90.00
_cell_angle_gamma 90.00
loop_
_atom_site_label
_atom_site_type_symbol
_atom_site_fract_x
_atom_site_fract_y
_atom_site_fract_z
_atom_site_occupancy
P1 P 0.0000 0.0000 0.0000 1
S1 S 0.5000 0.5000 0.5000 1
O1 O 0.0000 0.0000 0.5000 1
F1 F 0.0000 0.5000 0.0000 1
```

Peak list (10 most intense, 10° ≤ 2θ ≤ 90°, sorted by position)
| Position (°2θ) | I/Imax | hkl |
| --- | --- | --- |
| 20.40 | 12 | 1 0 0 |
| 29.01 | 35 | 1 1 0 |
| 32.89 | 63 | 1 0 1 |
| 39.02 | 58 | 1 1 1 |
| 41.50 | 100 | 2 0 0 |
| 52.43 | 22 | 0 0 2 |
| 53.93 | 29 | 2 1 1 |
| 60.13 | 28 | 2 2 0 |
| 68.97 | 35 | 2 0 2 |
| 83.81 | 19 | 2 2 2 |


Simulated powder diffraction line list of SbP2O6F2 for Cu Kα, from a cell relaxed with PBE.
Lines closer than 0.1° are merged.

```
data_SbP2O6F2
_symmetry_space_group_name_H-M 'P -3'
_symmetry_Int_Tables_number 147
_symmetry_space_group_name_Hall '-P 3'
_cell_length_a 5.1791
_cell_length_b 5.1791
_cell_length_c 7.2872
_cell_angle_alpha 90.00
_cell_angle_beta 90.00
_cell_angle_gamma 120.00
loop_
_atom_site_label
_atom_site_type_symbol
_atom_site_fract_x
_atom_site_fract_y
_atom_site_fract_z
_atom_site_occupancy
Sb1 Sb 0.0000 0.0000 0.0000 1
P1 P 0.3333 0.6667 0.7734 1
O1 O 0.0680 0.7041 0.8288 1
F1 F 0.3333 0.6667 0.5588 1
```

Peak list (10 most intense, 10° ≤ 2θ ≤ 90°, sorted by position)
| Position (°2θ) | I/Imax | hkl |
| --- | --- | --- |
| 12.15 | 60 | 0 0 1 |
| 19.79 | 12 | 1 0 0 |
| 23.29 | 100 | 1 0 1 |
| 31.64 | 33 | 1 0 2 |
| 34.64 | 22 | 1 1 0 |
| 42.16 | 14 | 0 2 1 |
| 42.31 | 16 | 0 1 3 |
| 42.84 | 12 | 2 -1 2 |
| 47.61 | 12 | 2 0 2 |
| 55.67 | 15 | 2 1 1 |